Diffraction record for TbAl4Au8. The powder XRD pattern is computed, not measured: it uses a cell relaxed with GGA-PBE and Cu Kα, 1.54184 Å.

Lattice parameters (Å, degrees): 9.204 9.204 5.557 90.00 90.00 90.00
Space group I4/mmm (No. 139)
One atom of each set of equivalent atoms:
Tb  0.000  0.000  0.000 (multiplicity 2)
Al  0.250  0.250  0.250 (multiplicity 8)
Au  0.000  0.219  0.500 (multiplicity 8)
Au  0.000  0.324  0.000 (multiplicity 8)

Largest 6 diffraction maxima, by intensity, 10 to 80 degrees two-theta:
d [Å]	2θ (°)	Rel. int.	index
2.320	38.82	100	3 2 1
2.779	32.21	69	0 0 2
3.254	27.41	68	2 2 0
2.113	42.79	64	2 2 2
2.686	33.36	55	3 0 1
2.301	39.15	46	4 0 0



Diffraction record for Pr2Ho2Tm2Mg. The powder XRD pattern is computed, not measured: it uses a cell relaxed with GGA-PBE and Cu Kα, 1.54184 Å.

Lattice parameters (Å, degrees): 12.146 3.642 11.580 90.00 118.87 90.00
Space group C2/m (No. 12)
One atom of each set of equivalent atoms:
Pr  0.027  0.000  0.246 (multiplicity 4)
Ho  0.182  0.000  0.589 (multiplicity 4)
Tm  0.245  0.000  0.125 (multiplicity 4)
Mg  0.000  0.500  0.000 (multiplicity 2)

Largest 6 diffraction maxima, by intensity, 10 to 80 degrees two-theta:
d [Å]	2θ (°)	Rel. int.	index
2.662	33.67	100	1 1 2
2.671	33.55	79	3 1 -2
2.895	30.89	65	2 0 -4
3.446	25.86	37	1 1 0
2.944	30.36	29	4 0 -1
3.014	29.64	27	2 0 2



Diffraction record for RbTa3Zn4O12. The powder XRD pattern is computed, not measured: it uses a cell relaxed with GGA-PBE and Cu Kα, 1.54184 Å.

Lattice parameters (Å, degrees): 11.3299 11.3299 7.6119 90.00 90.00 120.00
Space group R32 (No. 155, hexagonal axes)
One atom of each set of equivalent atoms:
Rb  0.0000  0.0000  0.0000 (multiplicity 3)
Ta  0.0000  0.5571  0.0000 (multiplicity 9)
Zn  0.0000  0.0000  0.5000 (multiplicity 3)
Zn  0.0000  0.4426  0.5000 (multiplicity 9)
O  0.0000  0.6094  0.5000 (multiplicity 9)
O  0.0000  0.8303  0.5000 (multiplicity 9)
O  0.0628  0.2345  0.1989 (multiplicity 18)

Largest 6 diffraction maxima, by intensity, 10 to 80 degrees two-theta:
d [Å]	2θ (°)	Rel. int.	index
3.007	29.71	100	2 0 2
3.334	26.74	43	2 1 1
2.563	35.02	42	1 3 1
2.832	31.59	37	2 2 0
5.665	15.64	35	1 1 0
4.124	21.55	29	0 2 1



Diffraction record for HoEr3Mg2. The powder XRD pattern is computed, not measured: it uses a cell relaxed with GGA-PBE and Cu Kα, 1.54184 Å.

Lattice parameters (Å, degrees): 3.616 3.616 12.966 90.00 90.00 90.00
Space group P4/mmm (No. 123)
One atom of each set of equivalent atoms:
Ho  0.000  0.000  0.000 (multiplicity 1)
Er  0.500  0.500  0.186 (multiplicity 2)
Er  0.500  0.500  0.500 (multiplicity 1)
Mg  0.000  0.000  0.345 (multiplicity 2)

Largest 6 diffraction maxima, by intensity, 10 to 80 degrees two-theta:
d [Å]	2θ (°)	Rel. int.	index
2.773	32.28	100	1 0 3
2.557	35.10	43	1 1 0
1.514	61.20	32	2 1 3
1.650	55.71	24	1 1 6
3.616	24.62	17	1 0 0
1.808	50.49	15	2 0 0



Diffraction record for TbPmAsO2. The powder XRD pattern is computed, not measured: it uses a cell relaxed with GGA-PBE and Cu Kα, 1.54184 Å.

Lattice parameters (Å, degrees): 3.857 3.857 13.076 90.00 90.00 90.00
Space group I4mm (No. 107)
One atom of each set of equivalent atoms:
Tb  0.000  0.000  0.000 (multiplicity 2)
Pm  0.000  0.000  0.318 (multiplicity 2)
As  0.000  0.000  0.659 (multiplicity 2)
O  0.000  0.500  0.414 (multiplicity 4)

Largest 6 diffraction maxima, by intensity, 10 to 80 degrees two-theta:
d [Å]	2θ (°)	Rel. int.	index
2.888	30.96	100	1 0 3
2.727	32.84	36	1 1 0
1.604	57.46	35	2 1 3
1.702	53.85	23	1 1 6
1.928	47.13	18	2 0 0
1.444	64.53	10	2 0 6



Diffraction record for Os2O7F2. The powder XRD pattern is computed, not measured: it uses a cell relaxed with GGA-PBE and Cu Kα, 1.54184 Å.

Lattice parameters (Å, degrees): 5.489 14.636 4.706 90.00 115.32 90.00
Space group P2_1/c (No. 14)
One atom of each set of equivalent atoms:
Os  0.007  0.099  0.274 (multiplicity 4)
O  0.000  0.000  0.000 (multiplicity 2)
O  0.010  0.151  0.604 (multiplicity 4)
O  0.265  0.653  0.512 (multiplicity 4)
O  0.285  0.149  0.262 (multiplicity 4)
F  0.249  0.502  0.124 (multiplicity 4)

Largest 6 diffraction maxima, by intensity, 10 to 80 degrees two-theta:
d [Å]	2θ (°)	Rel. int.	index
3.676	24.21	100	0 2 1
4.961	17.88	68	1 0 0
2.538	35.37	25	2 2 -1
7.318	12.09	20	0 2 0
3.659	24.33	20	0 4 0
2.945	30.35	19	1 4 0



Diffraction record for BePdW. The powder XRD pattern is computed, not measured: it uses a cell relaxed with GGA-PBE and Cu Kα, 1.54184 Å.

Lattice parameters (Å, degrees): 2.746 2.746 10.322 90.00 90.00 90.00
Space group P4mm (No. 99)
One atom of each set of equivalent atoms:
Be  0.000  0.000  0.000 (multiplicity 1)
Be  0.000  0.000  0.279 (multiplicity 1)
Pd  0.500  0.500  0.141 (multiplicity 1)
Pd  0.500  0.500  0.859 (multiplicity 1)
W  0.000  0.000  0.658 (multiplicity 1)
W  0.500  0.500  0.440 (multiplicity 1)

Largest 6 diffraction maxima, by intensity, 10 to 80 degrees two-theta:
d [Å]	2θ (°)	Rel. int.	index
2.146	42.10	100	1 0 3
2.424	37.08	63	1 0 2
1.942	46.78	52	1 1 0
2.654	33.77	36	1 0 1
2.580	34.77	32	0 0 4
1.552	59.58	27	1 1 4



Diffraction record for CsNa2SbCl6. The powder XRD pattern is computed, not measured: it uses a cell relaxed with GGA-PBE and Cu Kα, 1.54184 Å.

Lattice parameters (Å, degrees): 7.3777 7.3777 19.9408 90.00 90.00 120.00
Space group R3 (No. 146, hexagonal axes)
One atom of each set of equivalent atoms:
Cs  0.0000  0.0000  0.0000 (multiplicity 3)
Na  0.0000  0.0000  0.2643 (multiplicity 3)
Na  0.0000  0.0000  0.7923 (multiplicity 3)
Sb  0.0000  0.0000  0.4624 (multiplicity 3)
Cl  0.0056  0.3360  0.1977 (multiplicity 9)
Cl  0.0273  0.5709  0.0442 (multiplicity 9)

Largest 6 diffraction maxima, by intensity, 10 to 80 degrees two-theta:
d [Å]	2θ (°)	Rel. int.	index
5.379	16.48	100	0 1 2
3.930	22.62	65	1 0 4
2.469	36.39	53	2 -1 6
2.129	42.46	46	3 0 0
3.689	24.13	46	1 1 0
3.042	29.36	45	2 0 2



Diffraction record for MgZnOs2. The powder XRD pattern is computed, not measured: it uses a cell relaxed with GGA-PBE and Cu Kα, 1.54184 Å.

Lattice parameters (Å, degrees): 2.716 4.477 4.927 90.00 95.82 90.00
Space group P2/m (No. 10)
One atom of each set of equivalent atoms:
Mg  0.000  0.000  0.000 (multiplicity 1)
Zn  0.500  0.000  0.500 (multiplicity 1)
Os  0.284  0.500  0.742 (multiplicity 2)

Largest 6 diffraction maxima, by intensity, 10 to 80 degrees two-theta:
d [Å]	2θ (°)	Rel. int.	index
4.477	19.83	100	0 1 0
2.150	42.03	87	0 1 2
2.166	41.70	84	1 1 -1
2.271	39.69	50	1 0 1
2.239	40.29	49	0 2 0
1.594	57.84	33	1 2 1



Diffraction record for Ti6H2N. The powder XRD pattern is computed, not measured: it uses a cell relaxed with GGA-PBE and Cu Kα, 1.54184 Å.

Lattice parameters (Å, degrees): 4.804 5.740 9.384 90.00 119.50 90.00
Space group P2_1/c (No. 14)
One atom of each set of equivalent atoms:
Ti  0.004  0.003  0.230 (multiplicity 4)
Ti  0.337  0.742  0.086 (multiplicity 4)
Ti  0.348  0.249  0.580 (multiplicity 4)
H  0.243  0.232  0.747 (multiplicity 4)
N  0.000  0.000  0.000 (multiplicity 2)

Largest 6 diffraction maxima, by intensity, 10 to 80 degrees two-theta:
d [Å]	2θ (°)	Rel. int.	index
2.348	38.33	100	1 0 -4
2.366	38.03	48	1 2 0
2.392	37.61	40	1 0 2
2.401	37.45	38	2 0 -2
1.231	77.54	15	1 4 2
1.668	55.05	14	2 2 -4



Diffraction record for La3Pr8Ho4. The powder XRD pattern is computed, not measured: it uses a cell relaxed with GGA-PBE and Cu Kα, 1.54184 Å.

Lattice parameters (Å, degrees): 14.015 12.416 6.994 90.00 118.78 90.00
Space group C2/m (No. 12)
One atom of each set of equivalent atoms:
La  0.000  0.000  0.000 (multiplicity 2)
La  0.250  0.250  0.500 (multiplicity 4)
Pr  0.000  0.207  0.500 (multiplicity 4)
Pr  0.000  0.253  0.000 (multiplicity 4)
Pr  0.204  0.000  0.666 (multiplicity 4)
Pr  0.245  0.500  0.815 (multiplicity 4)
Ho  0.000  0.500  0.000 (multiplicity 2)
Ho  0.000  0.500  0.500 (multiplicity 2)
Ho  0.250  0.250  0.000 (multiplicity 4)

Largest 6 diffraction maxima, by intensity, 10 to 80 degrees two-theta:
d [Å]	2θ (°)	Rel. int.	index
3.069	29.10	100	4 0 0
3.104	28.77	74	0 4 0
2.182	41.37	69	4 4 0
3.047	29.31	35	2 2 -2
2.710	33.05	29	4 2 -2
2.748	32.58	26	0 2 2



Diffraction record for Ac2CeNi3. The powder XRD pattern is computed, not measured: it uses a cell relaxed with GGA-PBE and Cu Kα, 1.54184 Å.

Lattice parameters (Å, degrees): 13.894 8.276 5.134 90.00 90.00 90.00
Space group Cmcm (No. 63)
One atom of each set of equivalent atoms:
Ac  0.162  0.170  0.250 (multiplicity 8)
Ce  0.000  0.348  0.750 (multiplicity 4)
Ni  0.000  0.000  0.000 (multiplicity 4)
Ni  0.156  0.500  0.000 (multiplicity 8)

Largest 6 diffraction maxima, by intensity, 10 to 80 degrees two-theta:
d [Å]	2θ (°)	Rel. int.	index
3.176	28.10	100	3 1 1
2.370	37.96	54	3 3 0
3.222	27.69	53	0 2 1
2.167	41.68	33	3 1 2
2.316	38.89	25	6 0 0
1.880	48.41	23	6 2 1



> Which formula does entry 8 have?

CsNa2SbCl6